1.
Diffraction record for LaGd3Br4O4. The PXRD pattern is computed, not measured: it uses a PBE-relaxed structure and Cu Kα X-rays.
No peak broadening, texture or thermal motion is included.

Crystal structure
a = 3.9511 Å, b = 7.9068 Å, c = 17.0098 Å
α = 90.00°, β = 90.00°, γ = 90.00°
Space group Amm2 (No. 38)
Inequivalent atoms, fractional coordinates:
La: 0.0000 0.0000 0.0000 x2
Gd: 0.0000 0.0000 0.5085 x2
Gd: 0.5000 0.2497 0.1436 x4
Br: 0.0000 0.0000 0.2390 x2
Br: 0.0000 0.0000 0.7417 x2
Br: 0.5000 0.2384 0.4078 x4
O: 0.0000 0.2470 0.5760 x4
O: 0.5000 0.0000 0.0754 x2
O: 0.5000 0.0000 0.5765 x2

Largest 10 diffraction maxima, by intensity, 10 to 90 degrees two-theta:
2θ 30.9, I = 100, hkl 1 0 4; 2θ 32.0, I = 44, hkl 1 2 0; 2θ 56.4, I = 36, hkl 2 2 4; 2θ 10.4, I = 36, hkl 0 0 2; 2θ 45.9, I = 21, hkl 2 0 0; 2θ 54.2, I = 16, hkl 1 2 8; 2θ 48.6, I = 9, hkl 1 0 8; 2θ 38.5, I = 8, hkl 1 2 4; 2θ 75.6, I = 7, hkl 3 0 4; 2θ 76.2, I = 7, hkl 3 2 0

***

2.
Diffraction record for La3GdBr4O4. The PXRD pattern is computed, not measured: it uses a PBE-relaxed structure and Cu Kα X-rays.
No peak broadening, texture or thermal motion is included.

Crystal structure
a = 4.1079 Å, b = 4.1079 Å, c = 15.3429 Å
α = 90.00°, β = 90.00°, γ = 90.00°
Space group P4mm (No. 99)
Inequivalent atoms, fractional coordinates:
La: 0.0000 0.0000 0.0000 x1
La: 0.0000 0.0000 0.4970 x1
La: 0.5000 0.5000 0.6564 x1
Gd: 0.5000 0.5000 0.1513 x1
Br: 0.0000 0.0000 0.2541 x1
Br: 0.0000 0.0000 0.7584 x1
Br: 0.5000 0.5000 0.3962 x1
Br: 0.5000 0.5000 0.8988 x1
O: 0.0000 0.5000 0.0798 x2
O: 0.0000 0.5000 0.5772 x2

Largest 10 diffraction maxima, by intensity, 10 to 90 degrees two-theta:
2θ 31.9, I = 100, hkl 1 0 4; 2θ 30.8, I = 52, hkl 1 1 0; 2θ 55.5, I = 41, hkl 2 1 4; 2θ 44.1, I = 26, hkl 2 0 0; 2θ 57.6, I = 16, hkl 1 1 8; 2θ 11.5, I = 13, hkl 0 0 2; 2θ 24.6, I = 12, hkl 1 0 2; 2θ 89.8, I = 11, hkl 3 2 4; 2θ 47.4, I = 10, hkl 0 0 8; 2θ 38.9, I = 9, hkl 1 1 4

***

3.
Diffraction record for Na3GdBr6. The PXRD pattern is computed, not measured: it uses a PBE-relaxed structure and Cu Kα X-rays.
No peak broadening, texture or thermal motion is included.

Crystal structure
a = 7.4909 Å, b = 7.4909 Å, c = 20.0992 Å
α = 90.00°, β = 90.00°, γ = 120.00°
Space group R3 (No. 146, hexagonal axes)
Inequivalent atoms, fractional coordinates:
Na: 0.0000 0.0000 0.0000 x3
Na: 0.0000 0.0000 0.1982 x3
Na: 0.0000 0.0000 0.7007 x3
Gd: 0.0000 0.0000 0.5041 x3
Br: 0.0063 0.3689 0.7640 x9
Br: 0.0121 0.7091 0.5932 x9

Largest 10 diffraction maxima, by intensity, 10 to 90 degrees two-theta:
2θ 27.3, I = 100, hkl 1 1 3; 2θ 36.0, I = 51, hkl 1 1 6; 2θ 16.3, I = 38, hkl 0 1 2; 2θ 41.8, I = 37, hkl 3 0 0; 2θ 14.3, I = 28, hkl 1 0 1; 2θ 47.4, I = 27, hkl 2 -1 9; 2θ 32.9, I = 17, hkl 0 2 4; 2θ 50.6, I = 13, hkl 4 -2 3; 2θ 56.3, I = 12, hkl 4 -2 6; 2θ 71.2, I = 11, hkl 3 0 12

***

4.
Diffraction record for Na3GdBr6. The PXRD pattern is computed, not measured: it uses a PBE-relaxed structure and Cu Kα X-rays.
No peak broadening, texture or thermal motion is included.

Crystal structure
a = 7.3154 Å, b = 7.7636 Å, c = 13.1747 Å
α = 90.00°, β = 123.47°, γ = 90.00°
Space group P2_1/c (No. 14)
Inequivalent atoms, fractional coordinates:
Na: 0.0000 0.0000 0.0000 x2
Na: 0.2086 0.0806 0.7333 x4
Gd: 0.5000 0.0000 0.5000 x2
Br: 0.1146 0.1812 0.4339 x4
Br: 0.2488 0.6910 0.4197 x4
Br: 0.4003 0.0651 0.2614 x4

Largest 10 diffraction maxima, by intensity, 10 to 90 degrees two-theta:
2θ 27.2, I = 100, hkl 1 0 -4; 2θ 14.0, I = 44, hkl 0 1 1; 2θ 28.1, I = 43, hkl 2 1 -1; 2θ 26.9, I = 39, hkl 2 1 -2; 2θ 16.7, I = 38, hkl 1 1 -1; 2θ 36.9, I = 35, hkl 1 3 -1; 2θ 14.6, I = 31, hkl 1 0 -2; 2θ 30.7, I = 29, hkl 1 2 1; 2θ 33.7, I = 27, hkl 2 2 -2; 2θ 42.1, I = 27, hkl 3 1 -1

***

5.
Diffraction record for Gd7Br3O18. The PXRD pattern is computed, not measured: it uses a PBE-relaxed structure and Cu Kα X-rays.
No peak broadening, texture or thermal motion is included.

Crystal structure
a = 17.6008 Å, b = 17.6008 Å, c = 3.5547 Å
α = 90.00°, β = 90.00°, γ = 120.00°
Space group P6_3/m (No. 176)
Inequivalent atoms, fractional coordinates:
Gd: 0.0802 0.2410 0.2500 x6
Gd: 0.1227 0.4717 0.7500 x6
Gd: 0.3333 0.6667 0.2500 x2
Br: 0.0483 0.6041 0.7500 x6
O: 0.0100 0.8609 0.2500 x6
O: 0.0611 0.3236 0.7500 x6
O: 0.0701 0.8211 0.7500 x6
O: 0.1524 0.3963 0.2500 x6
O: 0.1787 0.5705 0.2500 x6
O: 0.2694 0.5585 0.7500 x6

Largest 10 diffraction maxima, by intensity, 10 to 90 degrees two-theta:
2θ 29.5, I = 100, hkl 2 1 1; 2θ 15.4, I = 91, hkl 2 1 0; 2θ 26.8, I = 49, hkl 1 4 0; 2θ 40.3, I = 46, hkl 4 2 1; 2θ 25.5, I = 27, hkl 2 3 0; 2θ 49.1, I = 21, hkl 7 0 1; 2θ 52.1, I = 18, hkl 1 7 1; 2θ 31.0, I = 14, hkl 4 2 0; 2θ 48.7, I = 13, hkl 4 4 1; 2θ 51.4, I = 13, hkl 0 0 2

***

6.
Diffraction record for Gd3Si2BrO8. The PXRD pattern is computed, not measured: it uses a PBE-relaxed structure and Cu Kα X-rays.
No peak broadening, texture or thermal motion is included.

Crystal structure
a = 18.3798 Å, b = 6.3405 Å, c = 6.9946 Å
α = 90.00°, β = 90.00°, γ = 90.00°
Space group Ima2 (No. 46)
Inequivalent atoms, fractional coordinates:
Gd: 0.0875 0.1304 0.0000 x8
Gd: 0.2500 0.6302 0.2297 x4
Si: 0.0996 0.6209 0.9917 x8
Br: 0.2500 0.2353 0.9922 x4
O: 0.0325 0.7102 0.4985 x8
O: 0.0953 0.0514 0.3183 x8
O: 0.1132 0.0288 0.6831 x8
O: 0.1754 0.7323 0.4834 x8

Largest 10 diffraction maxima, by intensity, 10 to 90 degrees two-theta:
2θ 29.2, I = 100, hkl 6 0 0; 2θ 34.3, I = 93, hkl 3 2 1; 2θ 20.2, I = 66, hkl 3 1 0; 2θ 29.6, I = 65, hkl 1 1 2; 2θ 31.4, I = 65, hkl 1 2 1; 2θ 18.9, I = 52, hkl 0 1 1; 2θ 38.3, I = 51, hkl 5 1 2; 2θ 21.2, I = 50, hkl 2 1 1; 2θ 50.8, I = 48, hkl 3 2 3; 2θ 46.8, I = 45, hkl 7 2 1

***

7.
Diffraction record for Gd3SiBr3. The PXRD pattern is computed, not measured: it uses a PBE-relaxed structure and Cu Kα X-rays.
No peak broadening, texture or thermal motion is included.

Crystal structure
a = 11.8211 Å, b = 11.8211 Å, c = 11.8211 Å
α = 90.00°, β = 90.00°, γ = 90.00°
Space group I4_132 (No. 214)
Inequivalent atoms, fractional coordinates:
Gd: 0.1120 0.3620 0.1250 x24
Si: 0.1250 0.1250 0.1250 x8
Br: 0.1203 0.1297 0.6250 x24

Largest 10 diffraction maxima, by intensity, 10 to 90 degrees two-theta:
2θ 30.2, I = 100, hkl 4 0 0; 2θ 43.3, I = 71, hkl 4 4 0; 2θ 28.2, I = 32, hkl 3 2 1; 2θ 71.4, I = 28, hkl 8 4 0; 2θ 53.7, I = 24, hkl 4 4 4; 2θ 10.6, I = 22, hkl 1 1 0; 2θ 79.4, I = 20, hkl 8 4 4; 2θ 35.6, I = 17, hkl 3 3 2; 2θ 18.4, I = 13, hkl 2 1 1; 2θ 57.3, I = 13, hkl 7 2 1

***

8.
Diffraction record for GeBr4. The PXRD pattern is computed, not measured: it uses a PBE-relaxed structure and Cu Kα X-rays.
No peak broadening, texture or thermal motion is included.

Crystal structure
a = 12.0738 Å, b = 12.0738 Å, c = 12.0738 Å
α = 90.00°, β = 90.00°, γ = 90.00°
Space group Pa-3 (No. 205)
Inequivalent atoms, fractional coordinates:
Ge: 0.1315 0.1315 0.1315 x8
Br: 0.0142 0.2420 0.0285 x24
Br: 0.2417 0.2417 0.2417 x8

Largest 10 diffraction maxima, by intensity, 10 to 90 degrees two-theta:
2θ 25.6, I = 100, hkl 2 2 2; 2θ 42.3, I = 48, hkl 4 4 0; 2θ 18.0, I = 34, hkl 2 1 1; 2θ 16.4, I = 31, hkl 2 1 0; 2θ 50.1, I = 31, hkl 6 2 2; 2θ 29.6, I = 28, hkl 4 0 0; 2θ 51.3, I = 9, hkl 6 3 1; 2θ 77.5, I = 8, hkl 8 4 4; 2θ 67.6, I = 8, hkl 6 6 2; 2θ 38.0, I = 8, hkl 4 1 3

***

9.
Diffraction record for GeBr4. The PXRD pattern is computed, not measured: it uses a PBE-relaxed structure and Cu Kα X-rays.
No peak broadening, texture or thermal motion is included.

Crystal structure
a = 11.0294 Å, b = 7.2236 Å, c = 11.3971 Å
α = 90.00°, β = 102.17°, γ = 90.00°
Space group P2_1/c (No. 14)
Inequivalent atoms, fractional coordinates:
Ge: 0.2493 0.0709 0.3581 x4
Br: 0.0795 0.0697 0.2004 x4
Br: 0.2006 0.5821 0.0196 x4
Br: 0.3056 0.1275 0.9097 x4
Br: 0.4125 0.5786 0.8007 x4

Largest 10 diffraction maxima, by intensity, 10 to 90 degrees two-theta:
2θ 27.8, I = 100, hkl 1 2 1; 2θ 23.8, I = 91, hkl 2 1 -2; 2θ 25.3, I = 85, hkl 2 0 2; 2θ 26.7, I = 82, hkl 1 1 -3; 2θ 27.4, I = 73, hkl 3 1 -1; 2θ 42.9, I = 61, hkl 2 3 -2; 2θ 15.9, I = 51, hkl 1 1 -1; 2θ 16.4, I = 45, hkl 2 0 0; 2θ 16.3, I = 41, hkl 1 0 -2; 2θ 24.6, I = 38, hkl 0 2 0

***

10.
Diffraction record for GeBr2. The PXRD pattern is computed, not measured: it uses a PBE-relaxed structure and Cu Kα X-rays.
No peak broadening, texture or thermal motion is included.

Crystal structure
a = 13.2304 Å, b = 9.2075 Å, c = 7.1012 Å
α = 90.00°, β = 101.44°, γ = 90.00°
Space group P2_1/c (No. 14)
Inequivalent atoms, fractional coordinates:
Ge: 0.0042 0.1278 0.2785 x4
Ge: 0.4553 0.1598 0.7133 x4
Br: 0.1025 0.6642 0.5970 x4
Br: 0.1261 0.0621 0.6659 x4
Br: 0.3481 0.1302 0.2860 x4
Br: 0.4151 0.6935 0.4394 x4

Largest 10 diffraction maxima, by intensity, 10 to 90 degrees two-theta:
2θ 29.4, I = 100, hkl 3 2 -1; 2θ 13.7, I = 62, hkl 2 0 0; 2θ 29.5, I = 33, hkl 1 1 2; 2θ 31.5, I = 21, hkl 2 0 2; 2θ 43.0, I = 17, hkl 1 2 -3; 2θ 44.3, I = 17, hkl 4 3 1; 2θ 44.8, I = 15, hkl 6 0 -2; 2θ 20.5, I = 15, hkl 1 2 0; 2θ 37.5, I = 15, hkl 3 1 2; 2θ 23.4, I = 14, hkl 1 2 -1